LiV3OF11: theoretical powder XRD pattern (Cu Kα), based on a crystal structure in Alexandria, relaxed with PBE+U.
Kinematic intensities with the Lorentz-polarization factor, no thermal factor.

Structural model:
```
data_LiV3OF11
_chemical_formula_sum 'Li2 V6 O2 F22'
_cell_length_a 5.3053
_cell_length_b 5.3961
_cell_length_c 16.6372
_cell_angle_alpha 98.38
_cell_angle_beta 91.16
_cell_angle_gamma 90.27
_space_group_name_H-M_alt 'P 1'
_space_group_IT_number 1
_space_group_name_Hall 'P 1'
loop_
_atom_site_label
_atom_site_fract_x
_atom_site_fract_y
_atom_site_fract_z
_atom_site_occupancy
Li1 0.0000 0.0000 0.0000 1
Li2 0.1827 0.1901 0.6160 1
V1 0.1993 0.8616 0.1833 1
V2 0.2201 0.4812 0.4765 1
V3 0.2389 0.1595 0.8239 1
V4 0.7203 0.3333 0.1789 1
V5 0.7244 0.9861 0.4882 1
V6 0.7358 0.6571 0.8208 1
O1 0.0158 0.1102 0.2011 1
O2 0.8556 0.0493 0.5809 1
F1 0.0401 0.4637 0.8062 1
F2 0.0405 0.7649 0.4552 1
F3 0.1511 0.5294 0.5854 1
F4 0.1537 0.2036 0.9341 1
F5 0.2243 0.8524 0.0722 1
F6 0.2342 0.7628 0.2789 1
F7 0.3113 0.1120 0.7137 1
F8 0.3196 0.3751 0.3774 1
F9 0.4043 0.1833 0.5125 1
F10 0.4357 0.8553 0.8416 1
F11 0.4379 0.5146 0.1522 1
F12 0.5155 0.0406 0.1958 1
F13 0.5227 0.6841 0.5035 1
F14 0.5508 0.3700 0.8488 1
F15 0.6516 0.5782 0.7175 1
F16 0.6559 0.9323 0.3780 1
F17 0.7354 0.4487 0.2820 1
F18 0.7643 0.1905 0.0730 1
F19 0.8237 0.7436 0.9288 1
F20 0.9144 0.2912 0.4570 1
F21 0.9246 0.9496 0.7999 1
F22 0.9329 0.6123 0.1553 1
```

Largest 6 diffraction maxima, low angle first, 2θ = 5–70°:
2θ 16.16, rel. 1000; 2θ 24.64, rel. 340; 2θ 24.95, rel. 606; 2θ 25.06, rel. 286; 2θ 48.01, rel. 114; 2θ 48.23, rel. 93